# TbHo12Sc2
Calculated powder X-ray diffraction pattern, Cu Ka. Input: the PBE geometry in Alexandria.
Intensities are scaled so that the largest is 100.

Top 8 peaks for 5 to 70 degrees two-theta, by angle:
h k l  2theta  I (rel.)
1 1 1  31.46  100
0 16 1  32.10  96
1 15 0  35.32  63
0 0 2  37.48  36
2 0 0  51.69  14
1 15 2  52.45  41
1 31 1  61.77  31
2 16 1  62.16  29

```
data_TbHo12Sc2
_chemical_formula_sum 'Tb2 Ho24 Sc4'
_cell_length_a 3.5366
_cell_length_b 54.8066
_cell_length_c 4.7992
_cell_angle_alpha 90.00
_cell_angle_beta 90.00
_cell_angle_gamma 90.00
_space_group_name_H-M_alt 'C m m m'
_space_group_IT_number 65
_space_group_name_Hall '-C 2 2'
loop_
_atom_site_label
_atom_site_type_symbol
_atom_site_fract_x
_atom_site_fract_y
_atom_site_fract_z
Tb1 Tb 0.0000 0.0000 0.0000
Ho1 Ho 0.0000 0.0655 0.0000
Ho2 Ho 0.0000 0.1910 0.0000
Ho3 Ho 0.0000 0.2764 0.5000
Ho4 Ho 0.0000 0.3398 0.5000
Ho5 Ho 0.0000 0.4019 0.5000
Ho6 Ho 0.0000 0.4670 0.5000
Sc1 Sc 0.0000 0.1290 0.0000
```